The following is a calculated powder diffractogram of Cs3Sb2Cl9. It was derived from a GGA-PBE-relaxed structure, using λ = 1.5418 Å (Cu Kα).
Neutral-atom scattering factors, no anomalous dispersion.

Peak list (10 most intense, 2θ from 10° to 90°, in order of falling intensity)
2θ (°)	d/Å	I/Imax	(hkl)
23.12	3.847	100	0 1 3
22.96	3.873	87	0 2 0
30.21	2.959	62	3 2 2
32.75	2.735	59	4 2 2
19.34	4.590	55	3 0 2
40.38	2.234	49	0 3 3
46.92	1.936	41	0 4 0
47.29	1.922	36	0 2 6
28.25	3.159	36	6 0 0
30.41	2.939	28	3 0 4

Cell and atoms:
```
56
Lattice="18.964 0.000 0.000 0.000 7.753 0.000 0.000 0.000 13.280" Properties=species:S:1:pos:R:3 pbc="T T T"
Cs 1.559 1.938 1.103
Cs 1.718 5.815 7.774
Cs 4.695 5.815 3.334
Cs 4.787 1.938 9.974
Cs 7.764 1.938 1.134
Cs 7.923 5.815 7.743
Cs 11.041 1.938 5.537
Cs 11.200 5.815 12.147
Cs 14.177 5.815 3.306
Cs 14.269 1.938 9.947
Cs 17.246 1.938 5.507
Cs 17.405 5.815 12.178
Sb 0.016 1.938 9.766
Sb 3.501 5.815 12.170
Sb 5.980 1.938 5.530
Sb 9.466 5.815 3.126
Sb 9.498 1.938 10.155
Sb 12.983 5.815 7.750
Sb 15.462 1.938 1.110
Sb 18.948 5.815 3.514
Cl 1.434 4.002 4.478
Cl 1.434 7.628 4.478
Cl 1.455 1.938 7.735
Cl 1.687 5.815 1.112
Cl 1.784 3.910 10.946
Cl 1.784 7.720 10.946
Cl 4.570 1.938 3.420
Cl 4.700 0.040 6.651
Cl 4.700 3.837 6.651
Cl 4.782 3.916 0.011
Cl 4.782 7.714 0.011
Cl 4.912 5.815 10.061
Cl 7.698 0.034 4.305
Cl 7.698 3.843 4.305
Cl 7.795 1.938 7.752
Cl 8.027 5.815 1.094
Cl 8.048 0.125 11.118
Cl 8.048 3.751 11.118
Cl 10.916 4.002 2.163
Cl 10.916 7.628 2.163
Cl 10.937 1.938 12.186
Cl 11.169 5.815 5.528
Cl 11.266 3.910 8.975
Cl 11.266 7.720 8.975
Cl 14.052 1.938 3.220
Cl 14.182 0.040 13.269
Cl 14.182 3.837 13.269
Cl 14.264 3.916 6.629
Cl 14.264 7.714 6.629
Cl 14.394 5.815 9.860
Cl 17.180 0.034 2.335
Cl 17.180 3.843 2.335
Cl 17.277 1.938 12.169
Cl 17.509 5.815 5.546
Cl 17.530 0.125 8.803
Cl 17.530 3.751 8.803
```